Theoretical X-ray powder pattern
Compound: Mn3CoBi
Radiation: a wavelength of 1.5418 Å
Structure: DFT lattice parameters and positions (GGA-PBE)

The 10 most intense peaks (2θ = 10–80°), by angle:
2θ/deg	I/Imax	hkl
19.36	17	1 0 0
27.51	100	1 1 0
33.87	86	1 1 1
39.31	83	2 0 0
48.65	44	2 1 1
56.80	55	2 2 0
64.25	20	3 1 0
67.80	33	3 1 1
71.26	18	2 2 2
77.98	23	3 2 1

Cell and atoms:
```
data_Mn3CoBi
_chemical_formula_sum 'Mn3 Co1 Bi1'
_cell_length_a 4.5845
_cell_length_b 4.5845
_cell_length_c 4.5845
_cell_angle_alpha 90.00
_cell_angle_beta 90.00
_cell_angle_gamma 90.00
_symmetry_space_group_name_H-M 'P 1'
_symmetry_Int_Tables_number 1
loop_
_symmetry_equiv_pos_as_xyz
'x,y,z'
loop_
_atom_site_label
_atom_site_type_symbol
_atom_site_fract_x
_atom_site_fract_y
_atom_site_fract_z
_atom_site_occupancy
Mn1 Mn 0.0000 0.0000 0.5000 1
Mn2 Mn 0.0000 0.5000 0.0000 1
Mn3 Mn 0.5000 0.0000 0.0000 1
Co1 Co 0.0000 0.0000 0.0000 1
Bi1 Bi 0.5000 0.5000 0.5000 1
```